Entry 1:
KP2H3O6: simulated powder X-ray diffraction pattern (Cu Kα), based on a cell relaxed with GGA-PBE.
Kinematic intensities with the Lorentz-polarization factor, no thermal factor.

Structural model:
Unit cell a=7.2736 b=11.1539 c=10.5032 alpha=90.00 beta=131.37 gamma=90.00
Element x y z (fractional)
K: 0.0663 0.2485 0.4962
K: 0.0663 0.2515 0.9962
K: 0.9337 0.7485 0.0038
K: 0.9337 0.7515 0.5038
P: 0.3125 0.5313 0.4364
P: 0.3125 0.9687 0.9364
P: 0.4764 0.5834 0.0437
P: 0.4764 0.9166 0.5437
P: 0.5236 0.0834 0.4563
P: 0.5236 0.4166 0.9563
P: 0.6875 0.0313 0.0636
P: 0.6875 0.4687 0.5636
H: 0.0637 0.5758 0.8364
H: 0.0637 0.9242 0.3364
H: 0.3389 0.5110 0.6596
H: 0.3389 0.9890 0.1596
H: 0.3918 0.7335 0.4006
H: 0.3918 0.7665 0.9006
H: 0.6082 0.2335 0.0994
H: 0.6082 0.2665 0.5994
H: 0.6611 0.0110 0.8404
H: 0.6611 0.4890 0.3404
H: 0.9363 0.0758 0.6636
H: 0.9363 0.4242 0.1636
O: 0.1409 0.0747 0.8411
O: 0.1409 0.4253 0.3411
O: 0.2044 0.5826 0.9703
O: 0.2044 0.9174 0.4703
O: 0.2551 0.6414 0.3272
O: 0.2551 0.8586 0.8272
O: 0.3232 0.5774 0.5843
O: 0.3232 0.9226 0.0843
O: 0.3468 0.0892 0.2649
O: 0.3468 0.4108 0.7649
O: 0.4885 0.1815 0.5439
O: 0.4885 0.3185 0.0439
O: 0.5115 0.6815 0.9561
O: 0.5115 0.8185 0.4561
O: 0.6532 0.5892 0.2351
O: 0.6532 0.9108 0.7351
O: 0.6768 0.0774 0.9157
O: 0.6768 0.4226 0.4157
O: 0.7449 0.1414 0.1728
O: 0.7449 0.3586 0.6728
O: 0.7956 0.0826 0.5297
O: 0.7956 0.4174 0.0297
O: 0.8591 0.5747 0.6589
O: 0.8591 0.9253 0.1589

Main lines, in order of rising 2θ (15 to 90 degrees two-theta):
| h k l | two_theta | I (rel.) |
| --- | --- | --- |
| 1 0 -2 | 16.94 | 55 |
| 0 0 2 | 22.56 | 100 |
| 1 2 0 | 22.80 | 57 |
| 1 2 -2 | 23.31 | 83 |
| 2 1 -2 | 25.79 | 40 |
| 0 3 1 | 26.51 | 30 |
| 2 1 -1 | 27.77 | 75 |
| 1 3 0 | 29.06 | 29 |
| 2 2 -2 | 29.34 | 30 |
| 1 3 -2 | 29.47 | 84 |

Entry 2:
KPHO3: simulated powder X-ray diffraction pattern (Cu Kα), based on a cell relaxed with GGA-PBE.
Kinematic intensities with the Lorentz-polarization factor, no thermal factor.

Structural model:
Unit cell a=8.3533 b=8.4642 c=11.0135 alpha=85.40 beta=81.74 gamma=88.16
Element x y z (fractional)
K: 0.1114 0.2870 0.0798
K: 0.2183 0.8108 0.5527
K: 0.2886 0.7680 0.0497
K: 0.3096 0.4118 0.4261
K: 0.6904 0.5882 0.5739
K: 0.7114 0.2320 0.9503
K: 0.7817 0.1892 0.4473
K: 0.8886 0.7130 0.9202
P: 0.0026 0.6302 0.2967
P: 0.1426 0.0626 0.8036
P: 0.2860 0.5140 0.7837
P: 0.4575 0.2159 0.7131
P: 0.5425 0.7841 0.2869
P: 0.7140 0.4860 0.2163
P: 0.8574 0.9374 0.1964
P: 0.9974 0.3698 0.7033
H: 0.2212 0.0923 0.4047
H: 0.2778 0.0518 0.3564
H: 0.4545 0.1472 0.1395
H: 0.4828 0.2221 0.1620
H: 0.5172 0.7779 0.8380
H: 0.5455 0.8528 0.8605
H: 0.7222 0.9482 0.6436
H: 0.7788 0.9077 0.5953
O: 0.0100 0.6892 0.4203
O: 0.0314 0.2282 0.8068
O: 0.0572 0.9368 0.7508
O: 0.1404 0.5329 0.2354
O: 0.1653 0.4711 0.6862
O: 0.1901 0.0361 0.9296
O: 0.1907 0.5483 0.9055
O: 0.2965 0.1154 0.7001
O: 0.3818 0.3461 0.8100
O: 0.3986 0.6334 0.7131
O: 0.4241 0.8847 0.2249
O: 0.4905 0.7018 0.4120
O: 0.5095 0.2982 0.5880
O: 0.5759 0.1153 0.7751
O: 0.6014 0.3666 0.2869
O: 0.6182 0.6539 0.1900
O: 0.7035 0.8846 0.2999
O: 0.8093 0.4517 0.0945
O: 0.8099 0.9639 0.0704
O: 0.8347 0.5289 0.3138
O: 0.8596 0.4671 0.7646
O: 0.9428 0.0632 0.2492
O: 0.9686 0.7718 0.1932
O: 0.9900 0.3108 0.5797

Main lines, in order of rising 2θ (15 to 90 degrees two-theta):
| h k l | two_theta | I (rel.) |
| --- | --- | --- |
| 0 0 2 | 16.31 | 52 |
| 1 1 -2 | 23.82 | 62 |
| 2 0 2 | 25.18 | 54 |
| 1 -2 1 | 25.30 | 64 |
| 2 1 -1 | 26.42 | 100 |
| 1 2 2 | 26.83 | 88 |
| 0 2 -2 | 27.75 | 47 |
| -1 2 2 | 28.99 | 54 |
| 1 2 -2 | 30.49 | 52 |
| -2 1 2 | 30.58 | 53 |